Structure and theoretical powder diffractogram of Cd2BO3F (DFT lattice parameters and positions (PBE); Cu Kα (λ = 1.5418 Å)).

Atomic structure:
Unit cell a=4.959 b=4.959 c=8.012 alpha=109.60 beta=109.60 gamma=66.80
Fractional positions:
Cd 0.186 0.230 0.380
Cd 0.230 0.186 0.880
Cd 0.770 0.814 0.120
Cd 0.814 0.770 0.620
B 0.472 0.528 0.250
B 0.528 0.472 0.750
O 0.197 0.479 0.187
O 0.282 0.718 0.750
O 0.479 0.197 0.687
O 0.521 0.803 0.313
O 0.718 0.282 0.250
O 0.803 0.521 0.813
F 0.000 0.000 0.000
F 0.000 0.000 0.500

Top 10 peaks for 2θ = 15–90°, in order of falling intensity:
| two_theta | intensity |
| --- | --- |
| 35.24 | 100 |
| 27.69 | 79 |
| 23.47 | 64 |
| 32.81 | 50 |
| 26.15 | 37 |
| 37.93 | 37 |
| 40.73 | 33 |
| 45.47 | 31 |
| 44.09 | 23 |
| 39.28 | 21 |